Starting from a DFT-relaxed cell (GGA-PBE, Alexandria), the PXRD pattern of AgSe2I2 was simulated for copper Kα.
Lines closer than 0.1° are merged.

The 8 most intense peaks (2θ = 10–90°), by angle:
2θ (°), d/Å, intensity
13.57, 6.525, 75
20.91, 4.248, 100
25.16, 3.539, 96
27.34, 3.262, 96
34.89, 2.572, 44
37.49, 2.399, 66
43.50, 2.080, 40
49.50, 1.841, 45

```
10
Lattice="7.914 0.000 0.000 0.000 7.914 0.000 0.000 0.000 6.525" Properties=species:S:1:pos:R:3 pbc="T T T"
Ag 0.000 0.000 0.000
Ag 3.957 3.957 0.000
Se 0.770 3.187 3.262
Se 3.187 7.144 3.262
Se 4.727 0.770 3.262
Se 7.144 4.727 3.262
I 1.547 2.410 0.000
I 2.410 6.367 0.000
I 5.504 1.547 0.000
I 6.367 5.504 0.000
```



Starting from a DFT-relaxed cell (GGA-PBE, Alexandria), the PXRD pattern of Ag4Se2I was simulated for copper Kα.
Lines closer than 0.1° are merged.

The 8 most intense peaks (2θ = 10–90°), by angle:
2θ (°), d/Å, intensity
21.72, 4.093, 40
25.52, 3.490, 51
26.68, 3.342, 51
30.90, 2.894, 76
40.49, 2.228, 76
44.26, 2.047, 100
44.30, 2.045, 20
87.11, 1.119, 23

```
14
Lattice="-4.090 4.099 5.783 4.090 -4.099 5.783 4.090 4.099 -5.783" Properties=species:S:1:pos:R:3 pbc="T T T"
Ag 0.000 0.280 2.694
Ag 1.765 2.049 0.196
Ag 2.325 -2.049 5.979
Ag 4.090 0.280 3.089
Ag 0.000 3.819 2.694
Ag 1.765 6.148 -0.196
Ag 2.325 2.049 5.588
Ag 4.090 3.819 3.089
Se 0.000 0.000 0.000
Se -2.045 2.049 2.892
Se 0.000 4.099 0.000
Se 2.045 2.049 2.892
I 4.090 2.049 -1.448
I 0.000 2.049 7.232
```



Starting from a DFT-relaxed cell (GGA-PBE, Alexandria), the PXRD pattern of Ag2SeI6 was simulated for copper Kα.
Lines closer than 0.1° are merged.

The 8 most intense peaks (2θ = 10–90°), by angle:
2θ (°), d/Å, intensity
11.63, 7.609, 46
16.74, 5.295, 100
24.14, 3.686, 34
26.87, 3.317, 81
33.86, 2.647, 32
34.27, 2.617, 61
42.47, 2.128, 47
43.30, 2.090, 55

```
9
Lattice="8.513 0.000 0.000 -4.256 7.372 0.000 0.000 0.000 7.609" Properties=species:S:1:pos:R:3 pbc="T T T"
Ag 0.000 4.915 0.922
Ag 4.256 2.457 6.687
Se 0.000 0.000 0.000
I 0.000 2.272 1.735
I -2.289 6.237 1.735
I 1.967 1.136 5.875
I 2.289 6.237 1.735
I 6.546 1.136 5.875
I 4.256 5.101 5.875
```



Starting from a DFT-relaxed cell (GGA-PBE, Alexandria), the PXRD pattern of SiAg5Te4I2 was simulated for copper Kα.
Lines closer than 0.1° are merged.

The 8 most intense peaks (2θ = 10–90°), by angle:
2θ (°), d/Å, intensity
25.00, 3.562, 100
25.85, 3.447, 73
36.08, 2.489, 35
41.40, 2.181, 30
44.27, 2.046, 18
44.48, 2.037, 30
44.71, 2.027, 17
44.99, 2.015, 21

```
12
Lattice="8.275 0.000 0.000 0.000 6.139 3.617 0.000 -6.139 3.617" Properties=species:S:1:pos:R:3 pbc="T T T"
Si 0.000 0.000 0.000
Ag 1.549 -1.760 3.461
Ag 1.549 1.760 3.461
Ag 4.138 0.000 6.649
Ag 6.726 -1.760 3.461
Ag 6.726 1.760 3.461
Te 0.000 -2.126 5.809
Te 0.000 2.126 5.809
Te 2.098 0.000 1.393
Te 6.177 0.000 1.393
I 4.138 -2.113 4.716
I 4.138 2.113 4.716
```



Starting from a DFT-relaxed cell (GGA-PBE, Alexandria), the PXRD pattern of Ag2Sn2I was simulated for copper Kα.
Lines closer than 0.1° are merged.

The 8 most intense peaks (2θ = 10–90°), by angle:
2θ (°), d/Å, intensity
27.25, 3.273, 100
32.88, 2.724, 97
35.07, 2.559, 62
38.10, 2.362, 59
44.36, 2.042, 57
45.68, 1.986, 30
52.84, 1.733, 32
64.37, 1.447, 37

```
5
Lattice="-2.042 2.042 8.207 2.042 -2.042 8.207 2.042 2.042 -8.207" Properties=species:S:1:pos:R:3 pbc="T T T"
Ag 2.042 0.000 4.103
Ag 0.000 2.042 4.103
Sn 0.000 0.000 2.000
Sn 0.000 0.000 14.413
I 0.000 0.000 8.207
```



Starting from a DFT-relaxed cell (GGA-PBE, Alexandria), the PXRD pattern of Ag2Sn3I8 was simulated for copper Kα.
Lines closer than 0.1° are merged.

The 8 most intense peaks (2θ = 10–90°), by angle:
2θ (°), d/Å, intensity
11.47, 7.717, 43
23.05, 3.858, 29
23.70, 3.754, 28
27.14, 3.285, 100
27.45, 3.249, 47
38.60, 2.332, 28
39.22, 2.297, 26
39.37, 2.289, 51

```
13
Lattice="8.126 -4.594 0.000 8.126 4.594 0.000 -2.481 0.000 7.521" Properties=species:S:1:pos:R:3 pbc="T T T"
Ag 1.471 0.000 0.466
Ag 12.299 0.000 7.055
Sn 6.885 2.299 3.760
Sn 8.126 0.000 0.000
Sn 6.885 -2.299 3.760
I 0.204 0.000 5.478
I 4.265 2.204 5.628
I 5.541 0.000 1.922
I 9.505 2.204 1.892
I 4.265 -2.204 5.628
I 8.230 0.000 5.599
I 9.505 -2.204 1.892
I 13.567 0.000 2.042
```



Starting from a DFT-relaxed cell (GGA-PBE, Alexandria), the PXRD pattern of AgSn2I was simulated for copper Kα.
Lines closer than 0.1° are merged.

The 8 most intense peaks (2θ = 10–90°), by angle:
2θ (°), d/Å, intensity
30.34, 2.946, 44
30.70, 2.913, 99
32.05, 2.793, 41
33.11, 2.706, 41
37.21, 2.416, 42
40.69, 2.218, 100
53.68, 1.708, 45
63.87, 1.457, 56

```
4
Lattice="1.708 0.986 11.173 -1.708 0.986 11.173 0.000 -1.972 11.173" Properties=species:S:1:pos:R:3 pbc="T T T"
Ag 0.000 0.000 0.000
Sn 0.000 0.000 13.519
Sn 0.000 0.000 19.999
I 0.000 0.000 16.759
```



Starting from a DFT-relaxed cell (GGA-PBE, Alexandria), the PXRD pattern of TbAg2I6 was simulated for copper Kα.
Lines closer than 0.1° are merged.

The 8 most intense peaks (2θ = 10–90°), by angle:
2θ (°), d/Å, intensity
12.59, 7.029, 62
18.76, 4.730, 67
19.94, 4.452, 47
22.94, 3.877, 44
26.49, 3.364, 100
28.99, 3.080, 55
41.85, 2.159, 46
45.24, 2.004, 43

```
18
Lattice="7.551 -7.029 0.000 7.551 7.029 0.000 -2.678 0.000 7.754" Properties=species:S:1:pos:R:3 pbc="T T T"
Tb 5.542 5.776 5.816
Tb 6.882 -5.776 1.939
Ag 2.636 1.323 5.704
Ag 3.975 -1.323 1.826
Ag 8.449 1.323 5.928
Ag 9.788 -1.323 2.051
I -0.177 1.230 5.017
I 3.098 4.150 6.051
I 1.162 -1.230 1.140
I 7.987 4.150 5.581
I 5.792 0.235 0.489
I 4.453 -0.235 4.366
I 7.971 0.235 3.388
I 6.632 -0.235 7.266
I 4.437 -4.150 2.174
I 11.262 1.230 6.614
I 9.326 -4.150 1.704
I 12.601 -1.230 2.737
```